Diffraction record for Tl5Sn4Hg2. The PXRD pattern is computed, not measured: it uses DFT lattice parameters and positions (GGA-PBE) and λ = 1.5418 Å (Cu Kα).

Crystal structure
Lattice parameters (Å, degrees): 23.329 4.512 6.819 90.00 104.56 90.00
Space group C2/m (No. 12)
Unique sites:
Tl1 0.000 0.000 0.000 x2
Tl2 0.121 0.500 0.990 x4
Tl3 0.189 0.500 0.501 x4
Sn1 0.040 0.500 0.358 x4
Sn2 0.096 0.000 0.637 x4
Hg1 0.232 0.000 0.852 x4

Top 8 peaks for 2θ from 5° to 70°, most intense first:
d/Å  Rel. int.  index
2.690  1000  5 1 1
2.869  327  8 0 -1
2.256  198  0 2 0
1.620  184  13 1 0
1.773  164  8 2 -1
3.097  132  5 1 -1
1.372  130  5 3 1
3.594  111  1 1 1